Structure and computed PXRD pattern of SrLiCuN (a structure optimized by DFT (GGA-PBE); Cu Ka).

Structure:
```
SrLiCuN
1.0
-3.107 3.107 13.174
3.107 -3.107 13.174
3.107 3.107 -13.174
Sr Li Cu N
8 8 8 8
Cartesian
1.722 1.553 0.353
4.492 1.553 0.353
3.107 0.168 6.233
0.000 0.168 6.940
3.107 2.938 6.233
0.000 2.938 6.940
-1.385 1.553 12.820
1.385 1.553 12.820
3.107 0.042 3.621
1.595 1.553 2.966
4.619 1.553 2.966
0.000 0.042 9.553
3.107 3.065 3.621
-1.512 1.553 10.208
1.512 1.553 10.208
0.000 3.065 9.553
1.603 1.553 -2.522
4.611 1.553 -2.522
0.000 0.050 4.065
3.107 0.050 9.109
0.000 3.057 4.065
3.107 3.057 9.109
-1.504 1.553 15.696
1.504 1.553 15.696
3.107 -0.079 1.693
3.107 3.028 -1.693
1.474 1.553 4.893
1.633 -1.553 18.067
1.474 4.660 -4.893
1.633 1.553 8.280
0.000 0.079 14.867
0.000 3.186 11.480
```

Peak list (10 most intense, 10 to 80 degrees two-theta, by angle)
17.5°, I 33; 27.7°, I 34; 29.5°, I 100; 33.8°, I 27; 40.3°, I 35; 41.1°, I 65; 45.1°, I 55; 50.3°, I 16; 59.5°, I 26; 77.7°, I 18

---

Structure and computed PXRD pattern of NaNbO3 (a structure optimized by DFT (GGA-PBE); Cu Ka).

Structure:
```
NaNbO3
1.0
5.692 0.000 0.000
0.000 5.703 0.000
0.000 0.000 15.991
Na Nb O
8 8 24
Cartesian
0.000 0.014 3.998
0.000 5.690 11.993
0.070 0.000 7.996
2.808 2.852 7.996
2.846 2.734 11.993
2.846 2.969 3.998
2.884 2.852 0.000
5.622 0.000 0.000
0.006 2.735 9.998
0.006 2.968 5.993
2.828 0.134 1.997
2.828 5.569 13.994
2.864 0.134 5.998
2.864 5.569 9.993
5.686 2.735 13.989
5.686 2.968 2.002
0.000 2.766 3.998
0.000 2.938 11.993
0.052 2.852 0.000
1.411 1.405 2.000
1.411 4.298 13.991
1.418 1.399 6.055
1.418 4.305 9.936
1.431 1.450 13.933
1.431 4.253 2.058
1.433 1.448 9.994
1.433 4.255 5.997
2.794 0.000 0.000
2.846 0.012 3.998
2.846 5.691 11.993
2.898 0.000 7.996
4.259 1.448 13.993
4.259 4.255 1.998
4.261 1.450 10.054
4.261 4.253 5.938
4.274 1.399 1.940
4.274 4.305 14.051
4.281 1.405 5.996
4.281 4.298 9.996
5.640 2.852 7.996
```

Peak list (10 most intense, 10 to 80 degrees two-theta, by angle)
22.1°, I 94; 22.2°, I 47; 31.4°, I 49; 31.5°, I 100; 45.0°, I 46; 45.4°, I 25; 51.0°, I 19; 56.0°, I 36; 56.2°, I 19; 65.8°, I 26

---

Structure and computed PXRD pattern of Ta5Ge2B (a structure optimized by DFT (GGA-PBE); Cu Ka).

Structure:
```
Ta5Ge2B
1.0
-3.244 3.244 6.064
3.244 -3.244 6.064
3.244 3.244 -6.064
Ta Ge B
10 4 2
Cartesian
0.000 0.000 0.000
4.305 1.062 -1.926
1.062 2.182 -1.926
4.305 1.062 1.926
1.062 2.182 1.926
0.000 0.000 6.064
2.182 1.062 4.138
-1.062 2.182 4.138
2.182 1.062 7.990
-1.062 2.182 7.990
2.368 0.875 0.000
2.368 -0.875 6.064
0.875 4.119 0.000
0.875 2.368 6.064
0.000 0.000 3.032
0.000 0.000 9.096
```

Peak list (10 most intense, 10 to 80 degrees two-theta, by angle)
24.3°, I 12; 31.3°, I 17; 31.7°, I 13; 38.2°, I 100; 40.7°, I 15; 44.1°, I 32; 44.8°, I 19; 63.4°, I 15; 64.7°, I 19; 78.2°, I 11

---

Structure and computed PXRD pattern of LuF3 (a structure optimized by DFT (GGA-PBE); Cu Ka).

Structure:
```
LuF3
1.0
3.881 0.000 0.000
-1.940 3.361 0.000
0.000 0.000 4.265
Lu F
1 3
Cartesian
0.000 0.000 0.000
0.000 0.000 2.132
0.000 2.240 0.434
1.940 1.120 3.831
```

Peak list (10 most intense, 10 to 80 degrees two-theta, by angle)
20.8°, I 69; 26.5°, I 100; 34.0°, I 68; 46.8°, I 38; 50.7°, I 41; 51.8°, I 37; 59.1°, I 15; 65.0°, I 21; 71.5°, I 14; 78.6°, I 14